Entry 1:
Structure and simulated powder X-ray diffraction pattern of Pr5HgAu2 (a DFT-relaxed cell (PBE, Alexandria); a wavelength of 1.5418 Å).
Intensities are scaled so that the largest is 100.

Peak list (8 most intense, 15° ≤ 2θ ≤ 90°, sorted by position)
index	d (Å)	I_rel
1 1 2	4.437	10.6
2 2 0	2.998	10.8
2 1 3	2.872	100.0
3 1 0	2.681	64.4
2 0 4	2.604	19.3
2 1 5	2.166	11.7
5 2 3	1.482	18.7
3 1 8	1.405	12.1

Cell and atoms:
Unit cell a=8.479 b=8.479 c=13.196 alpha=90.00 beta=90.00 gamma=90.00
Space group I4/mcm (No. 140)
One atom of each set of equivalent atoms:
Pr 0.000 0.000 0.000 x4
Pr 0.157 0.343 0.146 x16
Hg 0.000 0.000 0.250 x4
Au 0.133 0.367 0.500 x8


Entry 2:
Structure and simulated powder X-ray diffraction pattern of Pu3HgAu3 (a DFT-relaxed cell (PBE, Alexandria); a wavelength of 1.5418 Å).
Intensities are scaled so that the largest is 100.

Peak list (8 most intense, 15° ≤ 2θ ≤ 90°, sorted by position)
index	d (Å)	I_rel
1 1 2	2.572	100.0
0 1 7	2.540	99.2
1 0 5	2.508	44.7
0 2 0	2.467	52.0
1 2 5	1.759	32.7
1 3 2	1.444	17.5
0 3 7	1.438	17.6
2 1 7	1.338	28.2

Cell and atoms:
Unit cell a=3.149 b=4.934 c=20.742 alpha=90.00 beta=90.00 gamma=90.00
Space group Imm2 (No. 44)
One atom of each set of equivalent atoms:
Pu 0.000 0.000 0.000 x2
Pu 0.000 0.000 0.403 x2
Pu 0.000 0.500 0.192 x2
Hg 0.000 0.500 0.768 x2
Au 0.000 0.000 0.553 x2
Au 0.000 0.000 0.847 x2
Au 0.000 0.500 0.630 x2


Entry 3:
Structure and simulated powder X-ray diffraction pattern of PuHg3Au3 (a DFT-relaxed cell (PBE, Alexandria); a wavelength of 1.5418 Å).
Intensities are scaled so that the largest is 100.

Peak list (8 most intense, 15° ≤ 2θ ≤ 90°, sorted by position)
index	d (Å)	I_rel
2 0 0	3.834	41.3
2 1 1	3.130	100.0
2 2 2	2.214	30.3
3 2 1	2.049	62.6
4 0 0	1.917	32.7
5 2 1	1.400	18.7
4 4 0	1.356	21.5
6 1 1	1.244	19.3

Cell and atoms:
Unit cell a=7.668 b=7.668 c=7.668 alpha=90.00 beta=90.00 gamma=90.00
Space group Pm-3n (No. 223)
One atom of each set of equivalent atoms:
Pu 0.000 0.000 0.000 x2
Hg 0.000 0.250 0.500 x6
Au 0.000 0.500 0.250 x6


Entry 4:
Structure and simulated powder X-ray diffraction pattern of PuHg2Au (a DFT-relaxed cell (PBE, Alexandria); a wavelength of 1.5418 Å).
Intensities are scaled so that the largest is 100.

Peak list (8 most intense, 15° ≤ 2θ ≤ 90°, sorted by position)
index	d (Å)	I_rel
1 1 4	2.649	100.0
2 0 0	2.404	40.2
0 0 8	2.115	11.5
2 2 0	1.700	14.3
2 0 8	1.588	18.9
3 1 4	1.431	31.1
2 2 8	1.325	10.5
1 1 12	1.302	7.7

Cell and atoms:
Unit cell a=4.807 b=4.807 c=16.916 alpha=90.00 beta=90.00 gamma=90.00
Space group I4/mmm (No. 139)
One atom of each set of equivalent atoms:
Pu 0.000 0.000 0.138 x4
Hg 0.000 0.000 0.364 x4
Hg 0.000 0.500 0.000 x4
Au 0.000 0.500 0.250 x4


Entry 5:
Structure and simulated powder X-ray diffraction pattern of Pu2HgAu4 (a DFT-relaxed cell (PBE, Alexandria); a wavelength of 1.5418 Å).
Intensities are scaled so that the largest is 100.

Peak list (8 most intense, 15° ≤ 2θ ≤ 90°, sorted by position)
index	d (Å)	I_rel
1 1 0	2.901	39.5
1 0 5	2.820	63.6
1 1 2	2.780	63.0
1 1 4	2.490	100.0
1 0 7	2.298	48.4
2 0 0	2.051	72.2
2 1 5	1.659	27.3
2 1 7	1.530	27.7

Cell and atoms:
Unit cell a=4.103 b=4.103 c=19.418 alpha=90.00 beta=90.00 gamma=90.00
Space group I4/mmm (No. 139)
One atom of each set of equivalent atoms:
Pu 0.000 0.000 0.101 x4
Hg 0.000 0.000 0.500 x2
Au 0.000 0.000 0.354 x4
Au 0.000 0.500 0.250 x4


Entry 6:
Structure and simulated powder X-ray diffraction pattern of PuHg5Au2 (a DFT-relaxed cell (PBE, Alexandria); a wavelength of 1.5418 Å).
Intensities are scaled so that the largest is 100.

Peak list (8 most intense, 15° ≤ 2θ ≤ 90°, sorted by position)
index	d (Å)	I_rel
0 2 2	2.561	64.2
2 0 1	2.552	31.7
2 2 -1	2.539	100.0
0 4 0	1.803	12.6
4 0 -2	1.785	12.7
2 4 -3	1.472	23.9
4 2 0	1.466	12.1
4 2 -4	1.463	12.0

Cell and atoms:
Unit cell a=7.138 b=7.214 c=8.094 alpha=90.00 beta=115.98 gamma=90.00
Space group C2/m (No. 12)
One atom of each set of equivalent atoms:
Pu 0.000 0.000 0.000 x2
Hg 0.000 0.500 0.000 x2
Hg 0.114 0.250 0.726 x8
Au 0.231 0.000 0.466 x4


Entry 7:
Structure and simulated powder X-ray diffraction pattern of Pu3Hg2Au3 (a DFT-relaxed cell (PBE, Alexandria); a wavelength of 1.5418 Å).
Intensities are scaled so that the largest is 100.

Peak list (8 most intense, 15° ≤ 2θ ≤ 90°, sorted by position)
index	d (Å)	I_rel
1 1 4	2.616	100.0
0 2 0	2.489	22.2
0 0 8	2.447	19.9
2 0 0	1.977	11.4
0 2 8	1.745	14.6
1 3 4	1.461	17.2
1 1 12	1.443	15.0
2 2 8	1.308	11.5

Cell and atoms:
Unit cell a=3.953 b=4.979 c=19.577 alpha=90.00 beta=90.00 gamma=90.00
Space group Immm (No. 71)
One atom of each set of equivalent atoms:
Pu 0.000 0.000 0.000 x2
Pu 0.000 0.500 0.125 x4
Hg 0.000 0.000 0.240 x4
Au 0.000 0.000 0.500 x2
Au 0.000 0.500 0.378 x4


Entry 8:
Structure and simulated powder X-ray diffraction pattern of Rb5HgAu (a DFT-relaxed cell (PBE, Alexandria); a wavelength of 1.5418 Å).
Intensities are scaled so that the largest is 100.

Peak list (8 most intense, 15° ≤ 2θ ≤ 90°, sorted by position)
index	d (Å)	I_rel
1 0 -3	5.098	25.1
2 0 -2	4.327	38.7
1 1 -2	3.991	25.6
2 1 0	3.464	100.0
0 1 4	3.267	28.7
2 0 4	3.123	24.0
2 1 -4	2.768	57.2
0 2 0	2.492	32.6

Cell and atoms:
Unit cell a=9.683 b=4.984 c=17.319 alpha=90.00 beta=93.77 gamma=90.00
Space group P2_1/m (No. 11)
One atom of each set of equivalent atoms:
Rb 0.062 0.250 0.204 x2
Rb 0.141 0.750 0.567 x2
Rb 0.285 0.750 0.002 x2
Rb 0.331 0.250 0.766 x2
Rb 0.356 0.250 0.383 x2
Hg 0.424 0.250 0.148 x2
Au 0.076 0.750 0.358 x2